Record 1
For PuNi2SnO6, the PBE+U geometry in Alexandria gives the calculated powder diffractogram in this record (Cu Kα (weighted mean of Kα1 and Kα2)).
Neutral-atom scattering factors, no anomalous dispersion.

```
data_PuNi2SnO6
_cell_length_a 5.985
_cell_length_b 5.985
_cell_length_c 4.027
_cell_angle_alpha 90.00
_cell_angle_beta 90.00
_cell_angle_gamma 90.00
_symmetry_space_group_name_H-M 'P 4/m m m'
_symmetry_Int_Tables_number 123
_symmetry_space_group_name_Hall '-P 4 2'
loop_
_atom_site_label
_atom_site_type_symbol
_atom_site_fract_x
_atom_site_fract_y
_atom_site_fract_z
Pu1 Pu 0.000 0.000 0.000
Ni1 Ni 0.000 0.500 0.000
Sn1 Sn 0.500 0.500 0.000
O1 O 0.000 0.000 0.500
O2 O 0.250 0.250 0.000
O3 O 0.500 0.500 0.500
```

Peak list (10 most intense, 2θ from 5° to 70°, low angle first)
hkl 1 0 0, 2θ = 14.80°, 5.985 Å, intensity 22
hkl 1 1 0, 2θ = 20.99°, 4.232 Å, intensity 54
hkl 0 0 1, 2θ = 22.07°, 4.027 Å, intensity 100
hkl 2 0 0, 2θ = 29.85°, 2.993 Å, intensity 71
hkl 1 1 1, 2θ = 30.64°, 2.917 Å, intensity 23
hkl 2 0 1, 2θ = 37.44°, 2.402 Å, intensity 57
hkl 2 2 0, 2θ = 42.73°, 2.116 Å, intensity 44
hkl 2 2 1, 2θ = 48.60°, 1.873 Å, intensity 48
hkl 2 0 2, 2θ = 54.96°, 1.671 Å, intensity 27
hkl 2 2 2, 2θ = 63.81°, 1.459 Å, intensity 25



Record 2
For SrPuNi2O5, the PBE+U geometry in Alexandria gives the calculated powder diffractogram in this record (Cu Kα (weighted mean of Kα1 and Kα2)).
Neutral-atom scattering factors, no anomalous dispersion.

```
data_SrPuNi2O5
_cell_length_a 4.485
_cell_length_b 5.815
_cell_length_c 9.594
_cell_angle_alpha 90.00
_cell_angle_beta 90.00
_cell_angle_gamma 90.00
_symmetry_space_group_name_H-M 'I m m m'
_symmetry_Int_Tables_number 71
_symmetry_space_group_name_Hall '-I 2 2'
loop_
_atom_site_label
_atom_site_type_symbol
_atom_site_fract_x
_atom_site_fract_y
_atom_site_fract_z
Sr1 Sr 0.000 0.000 0.000
Pu1 Pu 0.000 0.000 0.500
Ni1 Ni 0.000 0.500 0.220
O1 O 0.000 0.257 0.359
O2 O 0.000 0.500 0.000
```

Peak list (10 most intense, 2θ from 5° to 70°, low angle first)
hkl 0 1 1, 2θ = 17.84°, 4.973 Å, intensity 36
hkl 0 0 2, 2θ = 18.50°, 4.797 Å, intensity 20
hkl 1 0 1, 2θ = 21.88°, 4.063 Å, intensity 14
hkl 1 1 0, 2θ = 25.08°, 3.551 Å, intensity 13
hkl 0 2 0, 2θ = 30.75°, 2.908 Å, intensity 23
hkl 1 1 2, 2θ = 31.34°, 2.854 Å, intensity 100
hkl 2 0 0, 2θ = 40.22°, 2.242 Å, intensity 20
hkl 0 2 4, 2θ = 49.25°, 1.850 Å, intensity 18
hkl 1 3 2, 2θ = 55.05°, 1.668 Å, intensity 20
hkl 2 2 4, 2θ = 65.38°, 1.427 Å, intensity 18